# 1
This entry pairs a crystal structure of Ho2TlCd5 with its calculated XRD peak list. Radiation: Cu Kα (weighted mean of Kα1 and Kα2). Structure: a cell relaxed with PBE.
Peak positions follow from Bragg's law for the DFT cell and can differ from measured ones.

Crystal structure
Cell lengths 11.414, 11.414, 10.014 Å; angles 90.00, 90.00, 162.03 degrees
Sites, in units of the cell vectors:
1 Ho 0.000 0.000 0.000
2 Ho 0.000 0.000 0.500
3 Ho 0.179 0.821 0.750
4 Ho 0.821 0.179 0.250
5 Tl 0.442 0.558 0.250
6 Tl 0.558 0.442 0.750
7 Cd 0.218 0.782 0.104
8 Cd 0.218 0.782 0.396
9 Cd 0.374 0.626 0.002
10 Cd 0.374 0.626 0.498
11 Cd 0.428 0.572 0.750
12 Cd 0.572 0.428 0.250
13 Cd 0.626 0.374 0.502
14 Cd 0.626 0.374 0.998
15 Cd 0.782 0.218 0.604
16 Cd 0.782 0.218 0.896

Most intense lines, 2θ = 10–90°, low angle first:
- 2θ = 31.08°, 2.878 Å, I 25
- 2θ = 32.00°, 2.797 Å, I 84
- 2θ = 33.06°, 2.710 Å, I 100
- 2θ = 33.26°, 2.694 Å, I 20
- 2θ = 35.87°, 2.503 Å, I 24
- 2θ = 36.59°, 2.456 Å, I 70
- 2θ = 36.78°, 2.444 Å, I 24
- 2θ = 37.11°, 2.423 Å, I 23
- 2θ = 51.24°, 1.783 Å, I 23
- 2θ = 62.69°, 1.482 Å, I 20
- 2θ = 64.28°, 1.449 Å, I 22
- 2θ = 64.60°, 1.443 Å, I 26

=====

# 2
This entry pairs a crystal structure of U4AsSeS2 with its calculated XRD peak list. Radiation: Cu Kα (weighted mean of Kα1 and Kα2). Structure: a cell relaxed with PBE.
Peak positions follow from Bragg's law for the DFT cell and can differ from measured ones.

Crystal structure
Cell lengths 6.947, 6.824, 5.620 Å; angles 67.06, 64.78, 48.16 degrees
Sites, in units of the cell vectors:
1 U 0.000 0.000 0.500
2 U 0.250 0.250 0.750
3 U 0.500 0.500 0.000
4 U 0.750 0.750 0.250
5 As 0.000 0.000 0.000
6 Se 0.500 0.500 0.500
7 S 0.250 0.250 0.250
8 S 0.750 0.750 0.750

Most intense lines, 2θ = 10–90°, low angle first:
- 2θ = 27.00°, 3.302 Å, I 36
- 2θ = 28.01°, 3.186 Å, I 33
- 2θ = 31.87°, 2.808 Å, I 100
- 2θ = 44.42°, 2.040 Å, I 13
- 2θ = 45.68°, 1.986 Å, I 50
- 2θ = 47.01°, 1.933 Å, I 11
- 2θ = 53.34°, 1.718 Å, I 12
- 2θ = 55.05°, 1.668 Å, I 11
- 2θ = 55.67°, 1.651 Å, I 14
- 2θ = 57.89°, 1.593 Å, I 12
- 2θ = 75.67°, 1.257 Å, I 14
- 2θ = 75.77°, 1.255 Å, I 12

=====

# 3
This entry pairs a crystal structure of CsNaTl11 with its calculated XRD peak list. Radiation: Cu Kα (weighted mean of Kα1 and Kα2). Structure: a cell relaxed with PBE.
Peak positions follow from Bragg's law for the DFT cell and can differ from measured ones.

Crystal structure
Cell lengths 8.744, 8.744, 8.656 Å; angles 97.38, 97.38, 136.57 degrees
Sites, in units of the cell vectors:
1 Cs 0.000 0.000 0.000
2 Na 0.500 0.500 0.500
3 Tl 0.000 0.000 0.500
4 Tl 0.000 0.500 0.000
5 Tl 0.004 0.365 0.360
6 Tl 0.287 0.503 0.782
7 Tl 0.365 0.004 0.360
8 Tl 0.497 0.713 0.218
9 Tl 0.500 0.000 0.000
10 Tl 0.503 0.287 0.782
11 Tl 0.635 0.996 0.640
12 Tl 0.713 0.497 0.218
13 Tl 0.996 0.635 0.640

Most intense lines, 2θ = 10–90°, low angle first:
- 2θ = 10.89°, 8.124 Å, I 24
- 2θ = 27.31°, 3.266 Å, I 31
- 2θ = 27.58°, 3.234 Å, I 24
- 2θ = 30.96°, 2.888 Å, I 41
- 2θ = 31.18°, 2.868 Å, I 100
- 2θ = 31.37°, 2.852 Å, I 19
- 2θ = 31.48°, 2.842 Å, I 36
- 2θ = 32.03°, 2.794 Å, I 31
- 2θ = 34.92°, 2.569 Å, I 67
- 2θ = 35.45°, 2.532 Å, I 59
- 2θ = 35.99°, 2.495 Å, I 20
- 2θ = 55.30°, 1.661 Å, I 24

=====

# 4
This entry pairs a crystal structure of TmAl2Rh with its calculated XRD peak list. Radiation: Cu Kα (weighted mean of Kα1 and Kα2). Structure: a cell relaxed with PBE.
Peak positions follow from Bragg's law for the DFT cell and can differ from measured ones.

Crystal structure
Cell lengths 14.938, 7.179, 5.491 Å; angles 90.00, 90.00, 90.00 degrees
Sites, in units of the cell vectors:
1 Tm 0.101 0.250 0.237
2 Tm 0.138 0.750 0.459
3 Tm 0.362 0.250 0.959
4 Tm 0.399 0.750 0.737
5 Tm 0.601 0.250 0.263
6 Tm 0.638 0.750 0.041
7 Tm 0.862 0.250 0.541
8 Tm 0.899 0.750 0.763
9 Al 0.041 0.058 0.751
10 Al 0.041 0.442 0.751
11 Al 0.212 0.550 0.936
12 Al 0.212 0.950 0.936
13 Al 0.288 0.050 0.436
14 Al 0.288 0.450 0.436
15 Al 0.459 0.558 0.251
16 Al 0.459 0.942 0.251
17 Al 0.541 0.058 0.749
18 Al 0.541 0.442 0.749
19 Al 0.712 0.550 0.564
20 Al 0.712 0.950 0.564
21 Al 0.788 0.050 0.064
22 Al 0.788 0.450 0.064
23 Al 0.959 0.558 0.249
24 Al 0.959 0.942 0.249
25 Rh 0.072 0.750 0.986
26 Rh 0.188 0.250 0.704
27 Rh 0.312 0.750 0.204
28 Rh 0.428 0.250 0.486
29 Rh 0.572 0.750 0.514
30 Rh 0.688 0.250 0.796
31 Rh 0.812 0.750 0.296
32 Rh 0.928 0.250 0.014

Most intense lines, 2θ = 10–90°, low angle first:
- 2θ = 23.62°, 3.766 Å, I 19
- 2θ = 23.83°, 3.734 Å, I 25
- 2θ = 24.13°, 3.689 Å, I 16
- 2θ = 24.80°, 3.590 Å, I 71
- 2θ = 32.11°, 2.788 Å, I 16
- 2θ = 34.66°, 2.588 Å, I 38
- 2θ = 34.88°, 2.573 Å, I 25
- 2θ = 36.45°, 2.465 Å, I 25
- 2θ = 37.07°, 2.425 Å, I 100
- 2θ = 39.75°, 2.267 Å, I 17
- 2θ = 41.78°, 2.162 Å, I 18
- 2θ = 52.16°, 1.754 Å, I 30